# 1
Structure and computed PXRD pattern of K4La6OsI14 (a cell relaxed with PBE; copper Kα).
Peak positions follow from Bragg's law for the DFT cell and can differ from measured ones.

Structure:
```
data_K4La6OsI14
_cell_length_a 10.1315
_cell_length_b 10.1315
_cell_length_c 22.4199
_cell_angle_alpha 90.00
_cell_angle_beta 90.00
_cell_angle_gamma 90.00
_space_group_name_H-M_alt 'P 1'
_space_group_IT_number 1
_space_group_name_Hall 'P 1'
loop_
_atom_site_label
_atom_site_type_symbol
_atom_site_fract_x
_atom_site_fract_y
_atom_site_fract_z
_atom_site_occupancy
K1 K 0.1679 0.3321 0.2500 1
K2 K 0.1679 0.3321 0.7500 1
K3 K 0.3321 0.8321 0.2500 1
K4 K 0.3321 0.8321 0.7500 1
K5 K 0.6679 0.1679 0.2500 1
K6 K 0.6679 0.1679 0.7500 1
K7 K 0.8321 0.6679 0.2500 1
K8 K 0.8321 0.6679 0.7500 1
La1 La 0.0000 0.0000 0.1286 1
La2 La 0.0000 0.0000 0.8714 1
La3 La 0.0908 0.7316 0.0000 1
La4 La 0.2316 0.5908 0.5000 1
La5 La 0.2684 0.0908 0.0000 1
La6 La 0.4092 0.2316 0.5000 1
La7 La 0.5000 0.5000 0.3714 1
La8 La 0.5000 0.5000 0.6286 1
La9 La 0.5908 0.7684 0.5000 1
La10 La 0.7316 0.9092 0.0000 1
La11 La 0.7684 0.4092 0.5000 1
La12 La 0.9092 0.2684 0.0000 1
Os1 Os 0.0000 0.0000 0.0000 1
Os2 Os 0.5000 0.5000 0.5000 1
I1 I 0.0000 0.0000 0.2772 1
I2 I 0.0000 0.0000 0.7228 1
I3 I 0.0934 0.3002 0.5000 1
I4 I 0.1027 0.6932 0.1463 1
I5 I 0.1027 0.6932 0.8537 1
I6 I 0.1932 0.6027 0.3537 1
I7 I 0.1932 0.6027 0.6463 1
I8 I 0.1998 0.4066 0.0000 1
I9 I 0.3002 0.9066 0.5000 1
I10 I 0.3068 0.1027 0.1463 1
I11 I 0.3068 0.1027 0.8537 1
I12 I 0.3973 0.1932 0.3537 1
I13 I 0.3973 0.1932 0.6463 1
I14 I 0.4066 0.8002 0.0000 1
I15 I 0.5000 0.5000 0.2228 1
I16 I 0.5000 0.5000 0.7772 1
I17 I 0.5934 0.1998 0.0000 1
I18 I 0.6027 0.8068 0.3537 1
I19 I 0.6027 0.8068 0.6463 1
I20 I 0.6932 0.8973 0.1463 1
I21 I 0.6932 0.8973 0.8537 1
I22 I 0.6998 0.0934 0.5000 1
I23 I 0.8002 0.5934 0.0000 1
I24 I 0.8068 0.3973 0.3537 1
I25 I 0.8068 0.3973 0.6463 1
I26 I 0.8973 0.3068 0.1463 1
I27 I 0.8973 0.3068 0.8537 1
I28 I 0.9066 0.6998 0.5000 1
```

Main lines, in order of rising 2θ (2θ from 15° to 90°):
| d [Å] | Position (°2θ) | intensity |
| --- | --- | --- |
| 3.737 | 23.81 | 47 |
| 3.524 | 25.28 | 57 |
| 3.204 | 27.85 | 96 |
| 3.172 | 28.14 | 100 |
| 3.054 | 29.24 | 34 |
| 2.803 | 31.93 | 38 |
| 2.265 | 39.79 | 97 |
| 2.254 | 40.01 | 28 |
| 2.111 | 42.85 | 50 |
| 1.433 | 65.11 | 36 |

# 2
Structure and computed PXRD pattern of K9Li3I2O13 (a cell relaxed with PBE; copper Kα).
Peak positions follow from Bragg's law for the DFT cell and can differ from measured ones.

Structure:
```
data_K9Li3I2O13
_cell_length_a 9.5293
_cell_length_b 9.5293
_cell_length_c 11.7533
_cell_angle_alpha 90.00
_cell_angle_beta 90.00
_cell_angle_gamma 120.00
_space_group_name_H-M_alt 'P 1'
_space_group_IT_number 1
_space_group_name_Hall 'P 1'
loop_
_atom_site_label
_atom_site_type_symbol
_atom_site_fract_x
_atom_site_fract_y
_atom_site_fract_z
_atom_site_occupancy
K1 K 0.0000 0.7800 0.0000 1
K2 K 0.0000 0.7800 0.5000 1
K3 K 0.1023 0.6520 0.2500 1
K4 K 0.1075 0.3747 0.7500 1
K5 K 0.2200 0.2200 0.0000 1
K6 K 0.2200 0.2200 0.5000 1
K7 K 0.2672 0.8925 0.7500 1
K8 K 0.3480 0.4502 0.2500 1
K9 K 0.3747 0.1075 0.2500 1
K10 K 0.4502 0.3480 0.7500 1
K11 K 0.5498 0.8977 0.2500 1
K12 K 0.6253 0.7328 0.7500 1
K13 K 0.6520 0.1023 0.7500 1
K14 K 0.7328 0.6253 0.2500 1
K15 K 0.7800 0.0000 0.0000 1
K16 K 0.7800 0.0000 0.5000 1
K17 K 0.8925 0.2672 0.2500 1
K18 K 0.8977 0.5498 0.7500 1
Li1 Li 0.0000 0.4597 0.0000 1
Li2 Li 0.0000 0.4597 0.5000 1
Li3 Li 0.4597 0.0000 0.0000 1
Li4 Li 0.4597 0.0000 0.5000 1
Li5 Li 0.5403 0.5403 0.0000 1
Li6 Li 0.5403 0.5403 0.5000 1
I1 I 0.3333 0.6667 0.5096 1
I2 I 0.3333 0.6667 0.9904 1
I3 I 0.6667 0.3333 0.0096 1
I4 I 0.6667 0.3333 0.4904 1
O1 O 0.0000 0.0000 0.2500 1
O2 O 0.0000 0.0000 0.7500 1
O3 O 0.1518 0.6321 0.6007 1
O4 O 0.1518 0.6321 0.8993 1
O5 O 0.1843 0.4860 0.0838 1
O6 O 0.1843 0.4860 0.4162 1
O7 O 0.3017 0.8157 0.0838 1
O8 O 0.3017 0.8157 0.4162 1
O9 O 0.3679 0.5197 0.6007 1
O10 O 0.3679 0.5197 0.8993 1
O11 O 0.4803 0.8482 0.6007 1
O12 O 0.4803 0.8482 0.8993 1
O13 O 0.4860 0.1843 0.5838 1
O14 O 0.4860 0.1843 0.9162 1
O15 O 0.5140 0.6983 0.0838 1
O16 O 0.5140 0.6983 0.4162 1
O17 O 0.5197 0.3679 0.1007 1
O18 O 0.5197 0.3679 0.3993 1
O19 O 0.6321 0.1518 0.1007 1
O20 O 0.6321 0.1518 0.3993 1
O21 O 0.6983 0.5140 0.5838 1
O22 O 0.6983 0.5140 0.9162 1
O23 O 0.8157 0.3017 0.5838 1
O24 O 0.8157 0.3017 0.9162 1
O25 O 0.8482 0.4803 0.1007 1
O26 O 0.8482 0.4803 0.3993 1
```

Main lines, in order of rising 2θ (2θ from 15° to 90°):
| d [Å] | Position (°2θ) | intensity |
| --- | --- | --- |
| 5.877 | 15.08 | 25 |
| 4.770 | 18.60 | 64 |
| 3.701 | 24.05 | 100 |
| 3.377 | 26.39 | 25 |
| 2.938 | 30.42 | 27 |
| 2.755 | 32.50 | 92 |
| 2.440 | 36.83 | 37 |
| 2.008 | 45.15 | 22 |
| 1.801 | 50.69 | 31 |
| 1.535 | 60.30 | 30 |

# 3
Structure and computed PXRD pattern of K2LiPrI6 (a cell relaxed with PBE; copper Kα).
Peak positions follow from Bragg's law for the DFT cell and can differ from measured ones.

Structure:
```
data_K2LiPrI6
_cell_length_a 8.5903
_cell_length_b 8.5903
_cell_length_c 8.5903
_cell_angle_alpha 60.00
_cell_angle_beta 60.00
_cell_angle_gamma 60.00
_space_group_name_H-M_alt 'P 1'
_space_group_IT_number 1
_space_group_name_Hall 'P 1'
loop_
_atom_site_label
_atom_site_type_symbol
_atom_site_fract_x
_atom_site_fract_y
_atom_site_fract_z
_atom_site_occupancy
K1 K 0.2500 0.2500 0.2500 1
K2 K 0.7500 0.7500 0.7500 1
Li1 Li 0.0000 0.0000 0.0000 1
Pr1 Pr 0.5000 0.5000 0.5000 1
I1 I 0.2434 0.2434 0.7566 1
I2 I 0.2434 0.7566 0.2434 1
I3 I 0.2434 0.7566 0.7566 1
I4 I 0.7566 0.2434 0.2434 1
I5 I 0.7566 0.2434 0.7566 1
I6 I 0.7566 0.7566 0.2434 1
```

Main lines, in order of rising 2θ (2θ from 15° to 90°):
| d [Å] | Position (°2θ) | intensity |
| --- | --- | --- |
| 3.507 | 25.40 | 96 |
| 3.037 | 29.41 | 100 |
| 2.716 | 32.97 | 30 |
| 2.148 | 42.07 | 73 |
| 2.025 | 44.76 | 16 |
| 1.831 | 49.79 | 43 |
| 1.753 | 52.16 | 26 |
| 1.394 | 67.18 | 17 |
| 1.358 | 69.16 | 32 |
| 1.240 | 76.89 | 24 |

# 4
Structure and computed PXRD pattern of K2LiTaI6 (a cell relaxed with PBE; copper Kα).
Peak positions follow from Bragg's law for the DFT cell and can differ from measured ones.

Structure:
```
data_K2LiTaI6
_cell_length_a 8.2161
_cell_length_b 8.2161
_cell_length_c 8.2161
_cell_angle_alpha 60.00
_cell_angle_beta 60.00
_cell_angle_gamma 60.00
_space_group_name_H-M_alt 'P 1'
_space_group_IT_number 1
_space_group_name_Hall 'P 1'
loop_
_atom_site_label
_atom_site_type_symbol
_atom_site_fract_x
_atom_site_fract_y
_atom_site_fract_z
_atom_site_occupancy
K1 K 0.2500 0.2500 0.2500 1
K2 K 0.7500 0.7500 0.7500 1
Li1 Li 0.0000 0.0000 0.0000 1
Ta1 Ta 0.5000 0.5000 0.5000 1
I1 I 0.2557 0.2557 0.7443 1
I2 I 0.2557 0.7443 0.2557 1
I3 I 0.2557 0.7443 0.7443 1
I4 I 0.7443 0.2557 0.2557 1
I5 I 0.7443 0.2557 0.7443 1
I6 I 0.7443 0.7443 0.2557 1
```

Main lines, in order of rising 2θ (2θ from 15° to 90°):
| d [Å] | Position (°2θ) | intensity |
| --- | --- | --- |
| 5.810 | 15.25 | 64 |
| 3.354 | 26.57 | 81 |
| 2.905 | 30.78 | 100 |
| 2.598 | 34.52 | 35 |
| 2.054 | 44.09 | 73 |
| 1.937 | 46.92 | 19 |
| 1.752 | 52.22 | 35 |
| 1.677 | 54.73 | 25 |
| 1.299 | 72.80 | 32 |
| 1.186 | 81.09 | 24 |

# 5
Structure and computed PXRD pattern of K2MnI4 (a cell relaxed with PBE; copper Kα).
Peak positions follow from Bragg's law for the DFT cell and can differ from measured ones.

Structure:
```
data_K2MnI4
_cell_length_a 8.0732
_cell_length_b 8.3615
_cell_length_c 9.8692
_cell_angle_alpha 90.00
_cell_angle_beta 107.96
_cell_angle_gamma 90.00
_space_group_name_H-M_alt 'P 1'
_space_group_IT_number 1
_space_group_name_Hall 'P 1'
loop_
_atom_site_label
_atom_site_type_symbol
_atom_site_fract_x
_atom_site_fract_y
_atom_site_fract_z
_atom_site_occupancy
K1 K 0.2192 0.2500 0.0517 1
K2 K 0.2657 0.2500 0.5678 1
K3 K 0.7343 0.7500 0.4322 1
K4 K 0.7808 0.7500 0.9483 1
Mn1 Mn 0.2256 0.7500 0.8004 1
Mn2 Mn 0.7744 0.2500 0.1996 1
I1 I 0.0050 0.0019 0.7397 1
I2 I 0.0050 0.4981 0.7397 1
I3 I 0.4047 0.7500 0.0785 1
I4 I 0.4243 0.7500 0.6264 1
I5 I 0.5757 0.2500 0.3736 1
I6 I 0.5953 0.2500 0.9215 1
I7 I 0.9950 0.5019 0.2603 1
I8 I 0.9950 0.9981 0.2603 1
```

Main lines, in order of rising 2θ (2θ from 15° to 90°):
| d [Å] | Position (°2θ) | intensity |
| --- | --- | --- |
| 4.698 | 18.89 | 25 |
| 4.096 | 21.70 | 24 |
| 3.672 | 24.24 | 100 |
| 3.553 | 25.06 | 89 |
| 3.270 | 27.27 | 55 |
| 3.123 | 28.58 | 71 |
| 2.467 | 36.41 | 29 |
| 2.213 | 40.78 | 55 |
| 2.048 | 44.22 | 33 |
| 1.802 | 50.67 | 25 |

# 6
Structure and computed PXRD pattern of K2NaMoI6 (a cell relaxed with PBE; copper Kα).
Peak positions follow from Bragg's law for the DFT cell and can differ from measured ones.

Structure:
```
data_K2NaMoI6
_cell_length_a 8.4076
_cell_length_b 8.4076
_cell_length_c 8.4076
_cell_angle_alpha 60.00
_cell_angle_beta 60.00
_cell_angle_gamma 60.00
_space_group_name_H-M_alt 'P 1'
_space_group_IT_number 1
_space_group_name_Hall 'P 1'
loop_
_atom_site_label
_atom_site_type_symbol
_atom_site_fract_x
_atom_site_fract_y
_atom_site_fract_z
_atom_site_occupancy
K1 K 0.2500 0.2500 0.2500 1
K2 K 0.7500 0.7500 0.7500 1
Na1 Na 0.0000 0.0000 0.0000 1
Mo1 Mo 0.5000 0.5000 0.5000 1
I1 I 0.2635 0.2635 0.7365 1
I2 I 0.2635 0.7365 0.2635 1
I3 I 0.2635 0.7365 0.7365 1
I4 I 0.7365 0.2635 0.2635 1
I5 I 0.7365 0.2635 0.7365 1
I6 I 0.7365 0.7365 0.2635 1
```

Main lines, in order of rising 2θ (2θ from 15° to 90°):
| d [Å] | Position (°2θ) | intensity |
| --- | --- | --- |
| 3.432 | 25.96 | 100 |
| 2.973 | 30.06 | 93 |
| 2.659 | 33.71 | 24 |
| 2.102 | 43.03 | 66 |
| 1.982 | 45.79 | 13 |
| 1.792 | 50.95 | 42 |
| 1.716 | 53.39 | 22 |
| 1.364 | 68.84 | 15 |
| 1.329 | 70.89 | 26 |
| 1.214 | 78.88 | 19 |

# 7
Structure and computed PXRD pattern of K2NaNdI6 (a cell relaxed with PBE; copper Kα).
Peak positions follow from Bragg's law for the DFT cell and can differ from measured ones.

Structure:
```
data_K2NaNdI6
_cell_length_a 8.8035
_cell_length_b 8.8035
_cell_length_c 8.8035
_cell_angle_alpha 60.00
_cell_angle_beta 60.00
_cell_angle_gamma 60.00
_space_group_name_H-M_alt 'P 1'
_space_group_IT_number 1
_space_group_name_Hall 'P 1'
loop_
_atom_site_label
_atom_site_type_symbol
_atom_site_fract_x
_atom_site_fract_y
_atom_site_fract_z
_atom_site_occupancy
K1 K 0.2500 0.2500 0.2500 1
K2 K 0.7500 0.7500 0.7500 1
Na1 Na 0.0000 0.0000 0.0000 1
Nd1 Nd 0.5000 0.5000 0.5000 1
I1 I 0.2513 0.2513 0.7487 1
I2 I 0.2513 0.7487 0.2513 1
I3 I 0.2513 0.7487 0.7487 1
I4 I 0.7487 0.2513 0.2513 1
I5 I 0.7487 0.2513 0.7487 1
I6 I 0.7487 0.7487 0.2513 1
```

Main lines, in order of rising 2θ (2θ from 15° to 90°):
| d [Å] | Position (°2θ) | intensity |
| --- | --- | --- |
| 3.594 | 24.77 | 86 |
| 3.112 | 28.68 | 100 |
| 2.784 | 32.15 | 33 |
| 2.201 | 41.01 | 75 |
| 2.075 | 43.62 | 18 |
| 1.877 | 48.50 | 40 |
| 1.797 | 50.81 | 26 |
| 1.428 | 65.34 | 16 |
| 1.392 | 67.26 | 33 |
| 1.271 | 74.70 | 25 |